1.
Structure and calculated powder diffractogram of Ga10GePb3O20 (a GGA-PBE-relaxed structure; copper Kα).

Cell and atoms:
```
data_Ga10GePb3O20
_cell_length_a 9.8945
_cell_length_b 9.8945
_cell_length_c 5.1846
_cell_angle_alpha 105.02
_cell_angle_beta 105.02
_cell_angle_gamma 73.72
_symmetry_space_group_name_H-M 'P 1'
_symmetry_Int_Tables_number 1
loop_
_symmetry_equiv_pos_as_xyz
'x,y,z'
loop_
_atom_site_label
_atom_site_fract_x
_atom_site_fract_y
_atom_site_fract_z
Ga1 0.0789 0.6512 0.3934
Ga2 0.1335 0.8665 0.0000
Ga3 0.2201 0.4932 0.8744
Ga4 0.3488 0.9211 0.6066
Ga5 0.4932 0.2201 0.8744
Ga6 0.5068 0.7799 0.1256
Ga7 0.6512 0.0789 0.3934
Ga8 0.7799 0.5068 0.1256
Ga9 0.8665 0.1335 0.0000
Ga10 0.9211 0.3488 0.6066
Ge1 0.0000 0.0000 0.5000
Pb1 0.2235 0.2235 0.2903
Pb2 0.5000 0.5000 0.5000
Pb3 0.7765 0.7765 0.7097
O1 0.0456 0.8166 0.2580
O2 0.0667 0.0667 0.2489
O3 0.1031 0.3765 0.6368
O4 0.1605 0.6721 0.7692
O5 0.1834 0.9544 0.7420
O6 0.2200 0.5097 0.2378
O7 0.3279 0.8395 0.2308
O8 0.3765 0.1031 0.6368
O9 0.4018 0.4018 0.8030
O10 0.4903 0.7800 0.7622
O11 0.5097 0.2200 0.2378
O12 0.5982 0.5982 0.1970
O13 0.6235 0.8969 0.3632
O14 0.6721 0.1605 0.7692
O15 0.7800 0.4903 0.7622
O16 0.8166 0.0456 0.2580
O17 0.8395 0.3279 0.2308
O18 0.8969 0.6235 0.3632
O19 0.9333 0.9333 0.7511
O20 0.9544 0.1834 0.7420
```

The 8 most intense peaks (10° ≤ 2θ ≤ 90°), in order of rising 2θ:
- 28.2 deg, intensity 90.1
- 28.4 deg, intensity 73.8
- 29.0 deg, intensity 100.0
- 30.3 deg, intensity 71.3
- 30.8 deg, intensity 45.7
- 34.6 deg, intensity 49.1
- 35.4 deg, intensity 45.0
- 42.1 deg, intensity 34.2

---

2.
Structure and calculated powder diffractogram of In2Ni3As2 (a GGA-PBE-relaxed structure; copper Kα).

Cell and atoms:
```
data_In2Ni3As2
_cell_length_a 5.7590
_cell_length_b 5.7590
_cell_length_c 5.7590
_cell_angle_alpha 54.82
_cell_angle_beta 54.82
_cell_angle_gamma 54.82
_symmetry_space_group_name_H-M 'P 1'
_symmetry_Int_Tables_number 1
loop_
_symmetry_equiv_pos_as_xyz
'x,y,z'
loop_
_atom_site_label
_atom_site_fract_x
_atom_site_fract_y
_atom_site_fract_z
In1 0.0000 0.0000 0.0000
In2 0.5000 0.5000 0.5000
Ni1 0.0000 0.5000 0.5000
Ni2 0.5000 0.0000 0.5000
Ni3 0.5000 0.5000 0.0000
As1 0.2123 0.2123 0.2123
As2 0.7877 0.7877 0.7877
```

The 8 most intense peaks (10° ≤ 2θ ≤ 90°), in order of rising 2θ:
- 31.3 deg, intensity 77.5
- 33.8 deg, intensity 98.1
- 36.9 deg, intensity 40.9
- 38.7 deg, intensity 35.8
- 41.2 deg, intensity 45.7
- 46.7 deg, intensity 100.0
- 50.5 deg, intensity 33.4
- 71.1 deg, intensity 34.2

---

3.
Structure and calculated powder diffractogram of HoGa2Co5 (a GGA-PBE-relaxed structure; copper Kα).

Cell and atoms:
```
data_HoGa2Co5
_cell_length_a 6.0485
_cell_length_b 6.0485
_cell_length_c 6.0485
_cell_angle_alpha 145.09
_cell_angle_beta 113.12
_cell_angle_gamma 77.71
_symmetry_space_group_name_H-M 'P 1'
_symmetry_Int_Tables_number 1
loop_
_symmetry_equiv_pos_as_xyz
'x,y,z'
loop_
_atom_site_label
_atom_site_fract_x
_atom_site_fract_y
_atom_site_fract_z
Ho1 0.0000 0.0000 0.0000
Ga1 0.2481 0.7481 0.5000
Ga2 0.7519 0.2519 0.5000
Co1 0.1913 0.3739 0.8174
Co2 0.4436 0.6261 0.8174
Co3 0.5000 0.0000 0.5000
Co4 0.5564 0.3739 0.1826
Co5 0.8087 0.6261 0.1826
```

The 8 most intense peaks (10° ≤ 2θ ≤ 90°), in order of rising 2θ:
- 26.7 deg, intensity 13.4
- 34.0 deg, intensity 41.1
- 37.9 deg, intensity 100.0
- 41.8 deg, intensity 13.8
- 47.3 deg, intensity 37.9
- 48.0 deg, intensity 15.0
- 50.3 deg, intensity 25.0
- 71.5 deg, intensity 20.9

---

4.
Structure and calculated powder diffractogram of Pa3SbTe8 (a GGA-PBE-relaxed structure; copper Kα).

Cell and atoms:
```
data_Pa3SbTe8
_cell_length_a 8.8201
_cell_length_b 8.8201
_cell_length_c 14.1303
_cell_angle_alpha 90.00
_cell_angle_beta 90.00
_cell_angle_gamma 120.00
_symmetry_space_group_name_H-M 'P 1'
_symmetry_Int_Tables_number 1
loop_
_symmetry_equiv_pos_as_xyz
'x,y,z'
loop_
_atom_site_label
_atom_site_fract_x
_atom_site_fract_y
_atom_site_fract_z
Pa1 0.1661 0.3321 0.0000
Pa2 0.1661 0.8339 0.0000
Pa3 0.3321 0.1661 0.5000
Pa4 0.6679 0.8339 0.0000
Pa5 0.8339 0.1661 0.5000
Pa6 0.8339 0.6679 0.5000
Sb1 0.3333 0.6667 0.2386
Sb2 0.6667 0.3333 0.7386
Te1 0.0000 0.0000 0.1235
Te2 0.0000 0.0000 0.6235
Te3 0.0070 0.5035 0.1277
Te4 0.1665 0.3329 0.3873
Te5 0.1665 0.8335 0.3873
Te6 0.3329 0.1665 0.8873
Te7 0.3333 0.6667 0.8785
Te8 0.4965 0.5035 0.1277
Te9 0.4965 0.9930 0.1277
Te10 0.5035 0.0070 0.6277
Te11 0.5035 0.4965 0.6277
Te12 0.6667 0.3333 0.3785
Te13 0.6671 0.8335 0.3873
Te14 0.8335 0.1665 0.8873
Te15 0.8335 0.6671 0.8873
Te16 0.9930 0.4965 0.6277
```

The 8 most intense peaks (10° ≤ 2θ ≤ 90°), in order of rising 2θ:
- 12.5 deg, intensity 50.1
- 13.2 deg, intensity 39.8
- 26.5 deg, intensity 95.7
- 30.1 deg, intensity 100.0
- 34.6 deg, intensity 32.1
- 39.7 deg, intensity 49.0
- 40.9 deg, intensity 75.3
- 68.0 deg, intensity 51.7

---

5.
Structure and calculated powder diffractogram of Tb3Pm2Dy6 (a GGA-PBE-relaxed structure; copper Kα).

Cell and atoms:
```
data_Tb3Pm2Dy6
_cell_length_a 16.9661
_cell_length_b 16.9661
_cell_length_c 16.9661
_cell_angle_alpha 163.96
_cell_angle_beta 163.96
_cell_angle_gamma 22.76
_symmetry_space_group_name_H-M 'P 1'
_symmetry_Int_Tables_number 1
loop_
_symmetry_equiv_pos_as_xyz
'x,y,z'
loop_
_atom_site_label
_atom_site_fract_x
_atom_site_fract_y
_atom_site_fract_z
Tb1 0.0000 0.0000 0.0000
Tb2 0.2010 0.2010 0.0000
Tb3 0.7990 0.7990 0.0000
Pm1 0.4540 0.4540 0.0000
Pm2 0.5460 0.5460 0.0000
Dy1 0.1218 0.6218 0.5000
Dy2 0.3039 0.3039 0.0000
Dy3 0.3782 0.8782 0.5000
Dy4 0.6218 0.1218 0.5000
Dy5 0.6961 0.6961 0.0000
Dy6 0.8782 0.3782 0.5000
```

The 8 most intense peaks (10° ≤ 2θ ≤ 90°), in order of rising 2θ:
- 28.7 deg, intensity 100.0
- 32.3 deg, intensity 22.7
- 34.4 deg, intensity 77.1
- 38.0 deg, intensity 60.0
- 50.7 deg, intensity 25.6
- 62.3 deg, intensity 24.6
- 63.1 deg, intensity 21.7
- 66.4 deg, intensity 23.0

---

6.
Structure and calculated powder diffractogram of SnGeP2 (a GGA-PBE-relaxed structure; copper Kα).

Cell and atoms:
```
data_SnGeP2
_cell_length_a 6.5902
_cell_length_b 6.5902
_cell_length_c 6.5902
_cell_angle_alpha 33.62
_cell_angle_beta 33.62
_cell_angle_gamma 33.62
_symmetry_space_group_name_H-M 'P 1'
_symmetry_Int_Tables_number 1
loop_
_symmetry_equiv_pos_as_xyz
'x,y,z'
loop_
_atom_site_label
_atom_site_fract_x
_atom_site_fract_y
_atom_site_fract_z
Sn1 0.0000 0.0000 0.0000
Ge1 0.5000 0.5000 0.5000
P1 0.2441 0.2441 0.2441
P2 0.7559 0.7559 0.7559
```

The 8 most intense peaks (10° ≤ 2θ ≤ 90°), in order of rising 2θ:
- 28.7 deg, intensity 52.8
- 33.3 deg, intensity 100.0
- 47.8 deg, intensity 71.0
- 56.7 deg, intensity 26.5
- 59.4 deg, intensity 18.5
- 79.5 deg, intensity 16.5
- 79.6 deg, intensity 15.8
- 89.0 deg, intensity 19.3

---

7.
Structure and calculated powder diffractogram of CdB4Pd12 (a GGA-PBE-relaxed structure; copper Kα).

Cell and atoms:
```
data_CdB4Pd12
_cell_length_a 6.8138
_cell_length_b 6.8138
_cell_length_c 6.8138
_cell_angle_alpha 109.47
_cell_angle_beta 109.47
_cell_angle_gamma 109.47
_symmetry_space_group_name_H-M 'P 1'
_symmetry_Int_Tables_number 1
loop_
_symmetry_equiv_pos_as_xyz
'x,y,z'
loop_
_atom_site_label
_atom_site_fract_x
_atom_site_fract_y
_atom_site_fract_z
Cd1 0.0000 0.0000 0.0000
B1 0.0000 0.0000 0.5000
B2 0.0000 0.5000 0.0000
B3 0.5000 0.0000 0.0000
B4 0.5000 0.5000 0.5000
Pd1 0.1403 0.3192 0.8212
Pd2 0.1788 0.4980 0.3192
Pd3 0.1788 0.8597 0.6808
Pd4 0.3192 0.1788 0.4980
Pd5 0.3192 0.8212 0.1403
Pd6 0.4980 0.3192 0.1788
Pd7 0.5020 0.6808 0.8212
Pd8 0.6808 0.1788 0.8597
Pd9 0.6808 0.8212 0.5020
Pd10 0.8212 0.1403 0.3192
Pd11 0.8212 0.5020 0.6808
Pd12 0.8597 0.6808 0.1788
```

The 8 most intense peaks (10° ≤ 2θ ≤ 90°), in order of rising 2θ:
- 36.1 deg, intensity 100.0
- 39.7 deg, intensity 21.1
- 43.0 deg, intensity 63.8
- 59.9 deg, intensity 10.8
- 69.7 deg, intensity 28.0
- 72.0 deg, intensity 12.8
- 74.3 deg, intensity 22.7
- 83.3 deg, intensity 14.1

---

8.
Structure and calculated powder diffractogram of Tm3ThAl8 (a GGA-PBE-relaxed structure; copper Kα).

Cell and atoms:
```
data_Tm3ThAl8
_cell_length_a 9.6501
_cell_length_b 9.6501
_cell_length_c 9.6501
_cell_angle_alpha 33.49
_cell_angle_beta 33.49
_cell_angle_gamma 33.49
_symmetry_space_group_name_H-M 'P 1'
_symmetry_Int_Tables_number 1
loop_
_symmetry_equiv_pos_as_xyz
'x,y,z'
loop_
_atom_site_label
_atom_site_fract_x
_atom_site_fract_y
_atom_site_fract_z
Tm1 0.0000 0.0000 0.0000
Tm2 0.1239 0.1239 0.1239
Tm3 0.6259 0.6259 0.6259
Th1 0.4999 0.4999 0.4999
Al1 0.0608 0.5617 0.5617
Al2 0.0632 0.0632 0.5645
Al3 0.0632 0.5645 0.0632
Al4 0.3131 0.3131 0.3131
Al5 0.5617 0.0608 0.5617
Al6 0.5617 0.5617 0.0608
Al7 0.5645 0.0632 0.0632
Al8 0.8117 0.8117 0.8117
```

The 8 most intense peaks (10° ≤ 2θ ≤ 90°), in order of rising 2θ:
- 19.5 deg, intensity 68.9
- 32.2 deg, intensity 100.0
- 37.9 deg, intensity 94.7
- 50.6 deg, intensity 18.3
- 57.3 deg, intensity 29.5
- 61.2 deg, intensity 19.7
- 61.2 deg, intensity 11.8
- 76.6 deg, intensity 17.0

---

9.
Structure and calculated powder diffractogram of Y4GeAu3 (a GGA-PBE-relaxed structure; copper Kα).

Cell and atoms:
```
data_Y4GeAu3
_cell_length_a 3.9078
_cell_length_b 4.5046
_cell_length_c 11.0050
_cell_angle_alpha 90.00
_cell_angle_beta 90.00
_cell_angle_gamma 90.00
_symmetry_space_group_name_H-M 'P 1'
_symmetry_Int_Tables_number 1
loop_
_symmetry_equiv_pos_as_xyz
'x,y,z'
loop_
_atom_site_label
_atom_site_fract_x
_atom_site_fract_y
_atom_site_fract_z
Y1 0.0000 0.0000 0.0000
Y2 0.0000 0.5000 0.2768
Y3 0.5000 0.0000 0.4988
Y4 0.5000 0.5000 0.7783
Ge1 0.5000 0.0000 0.2256
Au1 0.0000 0.0000 0.7270
Au2 0.0000 0.5000 0.5499
Au3 0.5000 0.5000 0.0537
```

The 8 most intense peaks (10° ≤ 2θ ≤ 90°), in order of rising 2θ:
- 24.2 deg, intensity 28.2
- 31.4 deg, intensity 100.0
- 32.5 deg, intensity 30.0
- 38.3 deg, intensity 32.0
- 39.2 deg, intensity 95.9
- 40.0 deg, intensity 34.6
- 46.5 deg, intensity 22.4
- 63.8 deg, intensity 20.1

---

10.
Structure and calculated powder diffractogram of Li2Mg5In (a GGA-PBE-relaxed structure; copper Kα).

Cell and atoms:
```
data_Li2Mg5In
_cell_length_a 6.3547
_cell_length_b 12.7782
_cell_length_c 4.2868
_cell_angle_alpha 90.00
_cell_angle_beta 90.00
_cell_angle_gamma 90.00
_symmetry_space_group_name_H-M 'P 1'
_symmetry_Int_Tables_number 1
loop_
_symmetry_equiv_pos_as_xyz
'x,y,z'
loop_
_atom_site_label
_atom_site_fract_x
_atom_site_fract_y
_atom_site_fract_z
Li1 0.2485 0.1223 0.0000
Li2 0.2515 0.6223 0.0000
Li3 0.7485 0.3777 0.0000
Li4 0.7515 0.8777 0.0000
Mg1 0.0000 0.0000 0.5000
Mg2 0.0075 0.7463 0.5000
Mg3 0.2455 0.3778 0.0000
Mg4 0.2545 0.8778 0.0000
Mg5 0.4925 0.2463 0.5000
Mg6 0.5000 0.5000 0.5000
Mg7 0.5075 0.7537 0.5000
Mg8 0.7455 0.1222 0.0000
Mg9 0.7545 0.6222 0.0000
Mg10 0.9925 0.2537 0.5000
In1 0.0000 0.5000 0.5000
In2 0.5000 0.0000 0.5000
```

The 8 most intense peaks (10° ≤ 2θ ≤ 90°), in order of rising 2θ:
- 13.9 deg, intensity 61.4
- 15.6 deg, intensity 95.0
- 20.7 deg, intensity 51.0
- 26.0 deg, intensity 55.2
- 35.0 deg, intensity 100.0
- 35.2 deg, intensity 99.1
- 40.0 deg, intensity 68.4
- 59.5 deg, intensity 40.7

---

11.
Structure and calculated powder diffractogram of Ba2BeN (a GGA-PBE-relaxed structure; copper Kα).

Cell and atoms:
```
data_Ba2BeN
_cell_length_a 7.0215
_cell_length_b 7.0215
_cell_length_c 7.0215
_cell_angle_alpha 113.06
_cell_angle_beta 113.06
_cell_angle_gamma 102.51
_symmetry_space_group_name_H-M 'P 1'
_symmetry_Int_Tables_number 1
loop_
_symmetry_equiv_pos_as_xyz
'x,y,z'
loop_
_atom_site_label
_atom_site_fract_x
_atom_site_fract_y
_atom_site_fract_z
Ba1 0.0457 0.1250 0.4207
Ba2 0.3750 0.9543 0.0793
Ba3 0.7043 0.6250 0.5793
Ba4 0.8750 0.2957 0.9207
Be1 0.2500 0.7500 0.5000
Be2 0.5000 0.5000 0.0000
N1 0.0000 0.0000 0.0000
N2 0.7500 0.2500 0.5000
```

The 8 most intense peaks (10° ≤ 2θ ≤ 90°), in order of rising 2θ:
- 15.2 deg, intensity 30.7
- 23.0 deg, intensity 41.0
- 26.0 deg, intensity 100.0
- 27.7 deg, intensity 49.0
- 32.7 deg, intensity 17.0
- 40.3 deg, intensity 19.2
- 43.4 deg, intensity 28.4
- 47.6 deg, intensity 17.2

---

12.
Structure and calculated powder diffractogram of TbSmAgRu (a GGA-PBE-relaxed structure; copper Kα).

Cell and atoms:
```
data_TbSmAgRu
_cell_length_a 3.4605
_cell_length_b 3.4605
_cell_length_c 7.6043
_cell_angle_alpha 90.00
_cell_angle_beta 90.00
_cell_angle_gamma 90.00
_symmetry_space_group_name_H-M 'P 1'
_symmetry_Int_Tables_number 1
loop_
_symmetry_equiv_pos_as_xyz
'x,y,z'
loop_
_atom_site_label
_atom_site_fract_x
_atom_site_fract_y
_atom_site_fract_z
Tb1 0.0000 0.0000 0.0000
Sm1 0.0000 0.0000 0.4460
Ag1 0.5000 0.5000 0.7316
Ru1 0.5000 0.5000 0.2176
```

The 8 most intense peaks (10° ≤ 2θ ≤ 90°), in order of rising 2θ:
- 35.1 deg, intensity 100.0
- 36.7 deg, intensity 47.3
- 47.8 deg, intensity 8.2
- 52.9 deg, intensity 16.3
- 61.8 deg, intensity 15.1
- 65.1 deg, intensity 32.3
- 74.1 deg, intensity 8.8
- 89.6 deg, intensity 7.6

---

13.
Structure and calculated powder diffractogram of Pm2GaSn3Pt4 (a GGA-PBE-relaxed structure; copper Kα).

Cell and atoms:
```
data_Pm2GaSn3Pt4
_cell_length_a 4.5280
_cell_length_b 4.5280
_cell_length_c 10.6486
_cell_angle_alpha 90.00
_cell_angle_beta 90.00
_cell_angle_gamma 90.00
_symmetry_space_group_name_H-M 'P 1'
_symmetry_Int_Tables_number 1
loop_
_symmetry_equiv_pos_as_xyz
'x,y,z'
loop_
_atom_site_label
_atom_site_fract_x
_atom_site_fract_y
_atom_site_fract_z
Pm1 0.0000 0.5000 0.2466
Pm2 0.5000 0.0000 0.7534
Ga1 0.5000 0.5000 0.0000
Sn1 0.0000 0.0000 0.0000
Sn2 0.0000 0.5000 0.6320
Sn3 0.5000 0.0000 0.3680
Pt1 0.0000 0.0000 0.5000
Pt2 0.0000 0.5000 0.8749
Pt3 0.5000 0.0000 0.1251
Pt4 0.5000 0.5000 0.5000
```

The 8 most intense peaks (10° ≤ 2θ ≤ 90°), in order of rising 2θ:
- 32.0 deg, intensity 66.8
- 32.6 deg, intensity 100.0
- 39.8 deg, intensity 82.3
- 44.2 deg, intensity 45.2
- 47.2 deg, intensity 27.0
- 52.0 deg, intensity 34.7
- 57.6 deg, intensity 28.4
- 67.8 deg, intensity 24.7